[1]
Structure and simulated PXRD pattern of Ca3Tl5 (a cell relaxed with GGA-PBE; Cu Kα (λ = 1.5418 Å)).
Neutral-atom scattering factors, no anomalous dispersion.

Principal peaks in the range 5 to 70 degrees two-theta, low angle first:
| d (Å) | intensity |
| --- | --- |
| 4.167 | 304 |
| 3.778 | 192 |
| 2.796 | 1000 |
| 2.776 | 135 |
| 2.718 | 254 |
| 2.680 | 145 |
| 2.628 | 211 |
| 2.411 | 224 |
| 1.889 | 115 |
| 1.584 | 107 |

Structural model:
Lattice parameters (Å, degrees): 6.701 6.701 10.872 90.00 90.00 76.69
Fractional coordinates of all 16 atoms:
Ca 0.086 0.914 0.750
Ca 0.286 0.286 0.000
Ca 0.286 0.286 0.500
Ca 0.714 0.714 0.000
Ca 0.714 0.714 0.500
Ca 0.914 0.086 0.250
Tl 0.018 0.556 0.250
Tl 0.204 0.796 0.035
Tl 0.204 0.796 0.465
Tl 0.444 0.982 0.250
Tl 0.474 0.526 0.750
Tl 0.526 0.474 0.250
Tl 0.556 0.018 0.750
Tl 0.796 0.204 0.535
Tl 0.796 0.204 0.965
Tl 0.982 0.444 0.750

***

[2]
Structure and simulated PXRD pattern of CaHf8N8O4 (a cell relaxed with GGA-PBE; Cu Kα (λ = 1.5418 Å)).
Neutral-atom scattering factors, no anomalous dispersion.

Principal peaks in the range 5 to 70 degrees two-theta, low angle first:
| d (Å) | intensity |
| --- | --- |
| 10.482 | 1000 |
| 3.494 | 955 |
| 2.936 | 377 |
| 2.902 | 471 |
| 2.862 | 343 |
| 2.819 | 386 |
| 2.787 | 297 |
| 2.761 | 668 |
| 2.217 | 388 |
| 1.931 | 289 |

Structural model:
Lattice parameters (Å, degrees): 5.724 5.808 10.971 104.82 90.37 118.76
Fractional coordinates of all 21 atoms:
Ca 0.000 0.000 0.000
Hf 0.076 0.528 0.309
Hf 0.178 0.735 0.592
Hf 0.288 0.591 0.885
Hf 0.436 0.254 0.324
Hf 0.557 0.467 0.607
Hf 0.672 0.363 0.022
Hf 0.757 0.895 0.318
Hf 0.853 0.085 0.593
N 0.013 0.382 0.984
N 0.064 0.159 0.232
N 0.213 0.471 0.683
N 0.457 0.629 0.457
N 0.619 0.593 0.932
N 0.718 0.496 0.223
N 0.827 0.358 0.456
N 0.900 0.826 0.682
O 0.095 0.957 0.450
O 0.372 0.978 0.952
O 0.397 0.857 0.260
O 0.533 0.124 0.652

***

[3]
Structure and simulated PXRD pattern of Sr4SiN4 (a cell relaxed with GGA-PBE; Cu Kα (λ = 1.5418 Å)).
Neutral-atom scattering factors, no anomalous dispersion.

Principal peaks in the range 5 to 70 degrees two-theta, low angle first:
| d (Å) | intensity |
| --- | --- |
| 3.811 | 292 |
| 3.689 | 614 |
| 3.142 | 339 |
| 2.906 | 470 |
| 2.894 | 1000 |
| 2.812 | 420 |
| 2.754 | 492 |
| 2.585 | 451 |
| 2.577 | 264 |
| 1.906 | 268 |

Structural model:
Lattice parameters (Å, degrees): 5.993 11.924 9.913 90.00 90.00 90.00
Fractional coordinates of all 36 atoms:
Sr 0.119 0.123 0.104
Sr 0.119 0.377 0.396
Sr 0.147 0.250 0.750
Sr 0.250 0.000 0.432
Sr 0.250 0.500 0.068
Sr 0.353 0.750 0.750
Sr 0.381 0.623 0.396
Sr 0.381 0.877 0.104
Sr 0.619 0.123 0.896
Sr 0.619 0.377 0.604
Sr 0.647 0.250 0.250
Sr 0.750 0.000 0.568
Sr 0.750 0.500 0.932
Sr 0.853 0.750 0.250
Sr 0.881 0.623 0.604
Sr 0.881 0.877 0.896
Si 0.250 0.000 0.749
Si 0.250 0.500 0.751
Si 0.750 0.000 0.251
Si 0.750 0.500 0.249
N 0.034 0.068 0.852
N 0.034 0.432 0.648
N 0.105 0.604 0.849
N 0.105 0.896 0.651
N 0.395 0.104 0.651
N 0.395 0.396 0.849
N 0.466 0.568 0.648
N 0.466 0.932 0.852
N 0.534 0.068 0.148
N 0.534 0.432 0.352
N 0.605 0.604 0.151
N 0.605 0.896 0.349
N 0.895 0.104 0.349
N 0.895 0.396 0.151
N 0.966 0.568 0.352
N 0.966 0.932 0.148

***

[4]
Structure and simulated PXRD pattern of BaBrCl (a cell relaxed with GGA-PBE; Cu Kα (λ = 1.5418 Å)).
Neutral-atom scattering factors, no anomalous dispersion.

Principal peaks in the range 5 to 70 degrees two-theta, low angle first:
| d (Å) | intensity |
| --- | --- |
| 4.399 | 723 |
| 2.694 | 1000 |
| 2.298 | 396 |
| 1.905 | 174 |
| 1.748 | 171 |
| 1.555 | 357 |
| 1.466 | 129 |
| 1.347 | 110 |

Structural model:
Lattice parameters (Å, degrees): 5.388 5.388 5.388 60.00 60.00 60.00
Fractional coordinates of all 3 atoms:
Ba 0.000 0.000 0.000
Br 0.250 0.250 0.250
Cl 0.750 0.750 0.750